Starting from a structure optimized by DFT (PBE+U), the powder diffraction line list of CaMn2O5 was simulated for a wavelength of 1.5418 Å.

Atomic structure:
Lattice parameters (Å, degrees): 3.691 11.505 4.681 90.00 90.00 90.00
Space group Pmmn (No. 59, origin choice 2)
Asymmetric unit:
Ca: 0.250 0.250 0.095 [2 per cell]
Mn: 0.250 0.596 0.427 [4 per cell]
O: 0.250 0.076 0.475 [4 per cell]
O: 0.250 0.625 0.062 [4 per cell]
O: 0.250 0.750 0.556 [2 per cell]

Most intense lines, 10° ≤ 2θ ≤ 90°, low angle first:
2θ/deg, d (Å), I_rel
18.96, 4.681, 100
24.52, 3.631, 82
30.12, 2.967, 57
30.85, 2.898, 59
31.84, 2.811, 74
33.70, 2.659, 98
38.46, 2.340, 49
49.38, 1.845, 52


Starting from a structure optimized by DFT (PBE+U), the powder diffraction line list of Li2VSi6O15 was simulated for a wavelength of 1.5418 Å.

Atomic structure:
Lattice parameters (Å, degrees): 6.871 12.688 7.446 90.00 110.75 90.00
Space group P2_1 (No. 4)
Asymmetric unit:
Li: 0.142 0.000 0.459 [2 per cell]
Li: 0.168 0.174 0.159 [2 per cell]
V: 0.261 0.588 0.757 [2 per cell]
Si: 0.007 0.494 0.024 [2 per cell]
Si: 0.031 0.672 0.308 [2 per cell]
Si: 0.300 0.826 0.916 [2 per cell]
Si: 0.309 0.329 0.705 [2 per cell]
Si: 0.469 0.496 0.199 [2 per cell]
Si: 0.491 0.673 0.477 [2 per cell]
O: 0.007 0.531 0.815 [2 per cell]
O: 0.038 0.604 0.491 [2 per cell]
O: 0.073 0.103 0.894 [2 per cell]
O: 0.089 0.285 0.715 [2 per cell]
O: 0.156 0.899 0.001 [2 per cell]
O: 0.169 0.722 0.819 [2 per cell]
O: 0.233 0.455 0.178 [2 per cell]
O: 0.266 0.702 0.318 [2 per cell]
O: 0.301 0.454 0.671 [2 per cell]
O: 0.349 0.268 0.525 [2 per cell]
O: 0.361 0.898 0.757 [2 per cell]
O: 0.428 0.063 0.597 [2 per cell]
O: 0.454 0.563 0.011 [2 per cell]
O: 0.485 0.297 0.910 [2 per cell]
O: 0.499 0.655 0.695 [2 per cell]

Most intense lines, 10° ≤ 2θ ≤ 90°, low angle first:
2θ/deg, d (Å), I_rel
13.96, 6.344, 58
15.46, 5.732, 99
18.92, 4.689, 100
21.90, 4.059, 84
25.97, 3.432, 89
27.05, 3.296, 64
28.20, 3.164, 94
32.07, 2.791, 73


Starting from a structure optimized by DFT (PBE+U), the powder diffraction line list of MnMoO4 was simulated for a wavelength of 1.5418 Å.

Atomic structure:
Lattice parameters (Å, degrees): 10.683 9.697 7.283 90.00 106.22 90.00
Space group C2/m (No. 12)
Asymmetric unit:
Mn: 0.000 0.183 0.000 [4 per cell]
Mn: 0.205 0.000 0.362 [4 per cell]
Mo: 0.000 0.251 0.500 [4 per cell]
Mo: 0.230 0.500 0.094 [4 per cell]
O: 0.042 0.154 0.309 [8 per cell]
O: 0.135 0.348 0.029 [8 per cell]
O: 0.138 0.355 0.606 [8 per cell]
O: 0.142 0.000 0.037 [4 per cell]
O: 0.202 0.000 0.652 [4 per cell]

Most intense lines, 10° ≤ 2θ ≤ 90°, low angle first:
2θ/deg, d (Å), I_rel
22.31, 3.985, 18
25.28, 3.523, 100
25.48, 3.496, 23
26.19, 3.403, 23
27.23, 3.275, 13
30.66, 2.916, 18
32.43, 2.761, 23
50.22, 1.817, 10


Starting from a structure optimized by DFT (PBE+U), the powder diffraction line list of Li2Cr3BiO8 was simulated for a wavelength of 1.5418 Å.

Atomic structure:
Lattice parameters (Å, degrees): 6.0421 6.0421 15.5014 90.00 90.00 120.00
Space group R-3m (No. 166, hexagonal axes)
Asymmetric unit:
Li: 0.0000 0.0000 0.1272 [6 per cell]
Cr: 0.0000 0.5000 0.0000 [9 per cell]
Bi: 0.0000 0.0000 0.5000 [3 per cell]
O: 0.0000 0.0000 0.2666 [6 per cell]
O: 0.0231 0.5115 0.2587 [18 per cell]

Most intense lines, 10° ≤ 2θ ≤ 90°, low angle first:
2θ/deg, d (Å), I_rel
17.89, 4.958, 100
20.48, 4.337, 23
33.60, 2.667, 21
34.39, 2.608, 40
36.24, 2.479, 14
41.65, 2.168, 38
46.26, 1.962, 21
59.35, 1.557, 12


Starting from a structure optimized by DFT (PBE+U), the powder diffraction line list of Na4MgNi4O10 was simulated for a wavelength of 1.5418 Å.

Atomic structure:
Lattice parameters (Å, degrees): 5.090 6.353 6.840 105.70 98.19 106.98
Space group P1 (No. 1)
Asymmetric unit:
Na: 0.000 0.000 0.000 [1 per cell]
Na: 0.106 0.350 0.373 [1 per cell]
Na: 0.355 0.271 0.781 [1 per cell]
Na: 0.706 0.531 0.547 [1 per cell]
Mg: 0.363 0.768 0.782 [1 per cell]
Ni: 0.150 0.854 0.379 [1 per cell]
Ni: 0.547 0.671 0.177 [1 per cell]
Ni: 0.757 0.057 0.578 [1 per cell]
Ni: 0.947 0.484 0.972 [1 per cell]
O: 0.044 0.442 0.712 [1 per cell]
O: 0.048 0.904 0.638 [1 per cell]
O: 0.240 0.390 0.080 [1 per cell]
O: 0.243 0.783 0.097 [1 per cell]
O: 0.423 0.738 0.481 [1 per cell]
O: 0.442 0.140 0.463 [1 per cell]
O: 0.668 0.633 0.898 [1 per cell]
O: 0.703 0.145 0.853 [1 per cell]
O: 0.850 0.551 0.242 [1 per cell]
O: 0.851 0.967 0.308 [1 per cell]

Most intense lines, 10° ≤ 2θ ≤ 90°, low angle first:
2θ/deg, d (Å), I_rel
15.45, 5.736, 19
17.03, 5.207, 100
34.45, 2.604, 19
35.78, 2.509, 18
35.89, 2.502, 16
42.14, 2.145, 90
42.27, 2.138, 45
59.94, 1.543, 12


Starting from a structure optimized by DFT (PBE+U), the powder diffraction line list of Sr4MgFe4O11 was simulated for a wavelength of 1.5418 Å.

Atomic structure:
Lattice parameters (Å, degrees): 5.616 6.976 7.042 76.07 89.82 87.99
Space group P1 (No. 1)
Asymmetric unit:
Sr: 0.000 0.000 0.000 [1 per cell]
Sr: 0.018 0.650 0.379 [1 per cell]
Sr: 0.491 0.867 0.650 [1 per cell]
Sr: 0.531 0.356 0.153 [1 per cell]
Mg: 0.058 0.309 0.663 [1 per cell]
Fe: 0.025 0.131 0.385 [1 per cell]
Fe: 0.028 0.559 0.939 [1 per cell]
Fe: 0.514 0.871 0.137 [1 per cell]
Fe: 0.544 0.346 0.666 [1 per cell]
O: 0.031 0.302 0.112 [1 per cell]
O: 0.056 0.010 0.662 [1 per cell]
O: 0.265 0.946 0.313 [1 per cell]
O: 0.270 0.698 0.062 [1 per cell]
O: 0.280 0.510 0.748 [1 per cell]
O: 0.314 0.326 0.464 [1 per cell]
O: 0.533 0.101 0.893 [1 per cell]
O: 0.745 0.948 0.313 [1 per cell]
O: 0.768 0.693 0.061 [1 per cell]
O: 0.800 0.319 0.459 [1 per cell]
O: 0.800 0.502 0.741 [1 per cell]

Most intense lines, 10° ≤ 2θ ≤ 90°, low angle first:
2θ/deg, d (Å), I_rel
30.36, 2.944, 84
30.54, 2.927, 90
30.70, 2.912, 83
31.35, 2.853, 86
31.89, 2.806, 100
32.45, 2.759, 85
45.53, 1.992, 70
46.73, 1.944, 71


Starting from a structure optimized by DFT (PBE+U), the powder diffraction line list of MgMn6O8F4 was simulated for a wavelength of 1.5418 Å.

Atomic structure:
Lattice parameters (Å, degrees): 5.086 5.607 7.707 87.85 84.26 83.24
Space group P1 (No. 1)
Asymmetric unit:
Mg: 0.000 0.000 0.000 [1 per cell]
Mn: 0.438 0.561 0.507 [1 per cell]
Mn: 0.481 0.869 0.195 [1 per cell]
Mn: 0.499 0.207 0.867 [1 per cell]
Mn: 0.809 0.602 0.790 [1 per cell]
Mn: 0.972 0.073 0.524 [1 per cell]
Mn: 0.988 0.404 0.204 [1 per cell]
O: 0.134 0.349 0.420 [1 per cell]
O: 0.271 0.858 0.418 [1 per cell]
O: 0.287 0.165 0.091 [1 per cell]
O: 0.647 0.569 0.288 [1 per cell]
O: 0.678 0.859 0.957 [1 per cell]
O: 0.683 0.327 0.644 [1 per cell]
O: 0.763 0.824 0.610 [1 per cell]
O: 0.794 0.345 0.966 [1 per cell]
F: 0.170 0.687 0.079 [1 per cell]
F: 0.204 0.064 0.768 [1 per cell]
F: 0.232 0.558 0.742 [1 per cell]
F: 0.814 0.058 0.258 [1 per cell]

Most intense lines, 10° ≤ 2θ ≤ 90°, low angle first:
2θ/deg, d (Å), I_rel
24.28, 3.665, 72
28.34, 3.149, 100
33.60, 2.668, 40
34.03, 2.634, 42
34.57, 2.595, 33
38.18, 2.357, 23
49.76, 1.833, 24
59.25, 1.560, 24